No. 1
Calculated X-ray powder pattern of NaCu3GeSe4 for Cu Kα X-rays, from a crystal structure in Alexandria, relaxed with GGA-PBE.
Kinematic intensities with the Lorentz-polarization factor, no thermal factor.

```
data_NaCu3GeSe4
_cell_length_a 6.0133
_cell_length_b 6.0133
_cell_length_c 6.0133
_cell_angle_alpha 90.00
_cell_angle_beta 90.00
_cell_angle_gamma 90.00
_symmetry_space_group_name_H-M 'P 1'
_symmetry_Int_Tables_number 1
_symmetry_space_group_name_Hall 'P 1'
loop_
_atom_site_label
_atom_site_fract_x
_atom_site_fract_y
_atom_site_fract_z
Na1 0.0000 0.0000 0.0000
Cu1 0.0000 0.5000 0.5000
Cu2 0.5000 0.0000 0.5000
Cu3 0.5000 0.5000 0.0000
Ge1 0.5000 0.5000 0.5000
Se1 0.2709 0.2709 0.7291
Se2 0.2709 0.7291 0.2709
Se3 0.7291 0.2709 0.2709
Se4 0.7291 0.7291 0.7291
```

The 8 most intense peaks (10° ≤ 2θ ≤ 90°), sorted by position:
hkl 1 0 0, 14.73°, I 52.2; hkl 1 1 1, 25.66°, I 87.5; hkl 2 2 0, 42.52°, I 100.0; hkl 3 1 1, 50.33°, I 35.7; hkl 3 2 0, 55.06°, I 14.3; hkl 4 0 0, 61.70°, I 14.7; hkl 3 3 1, 67.95°, I 12.2; hkl 4 2 2, 77.81°, I 27.3

***

No. 2
Calculated X-ray powder pattern of ZrBeTl3 for Cu Kα X-rays, from a crystal structure in Alexandria, relaxed with GGA-PBE.
Kinematic intensities with the Lorentz-polarization factor, no thermal factor.

```
data_ZrBeTl3
_cell_length_a 4.9193
_cell_length_b 4.9193
_cell_length_c 4.9193
_cell_angle_alpha 90.00
_cell_angle_beta 90.00
_cell_angle_gamma 90.00
_symmetry_space_group_name_H-M 'P 1'
_symmetry_Int_Tables_number 1
_symmetry_space_group_name_Hall 'P 1'
loop_
_atom_site_label
_atom_site_fract_x
_atom_site_fract_y
_atom_site_fract_z
Zr1 0.0000 0.0000 0.0000
Be1 0.5000 0.5000 0.5000
Tl1 0.0000 0.5000 0.5000
Tl2 0.5000 0.0000 0.5000
Tl3 0.5000 0.5000 0.0000
```

The 8 most intense peaks (10° ≤ 2θ ≤ 90°), sorted by position:
hkl 1 0 0, 18.03°, I 7.6; hkl 1 1 1, 31.50°, I 100.0; hkl 2 0 0, 36.53°, I 52.5; hkl 2 2 0, 52.62°, I 37.3; hkl 3 1 1, 62.63°, I 42.9; hkl 2 2 2, 65.76°, I 12.8; hkl 3 3 1, 86.17°, I 18.3; hkl 4 2 0, 88.99°, I 17.8

***

No. 3
Calculated X-ray powder pattern of CuTeAsBr2 for Cu Kα X-rays, from a crystal structure in Alexandria, relaxed with GGA-PBE.
Kinematic intensities with the Lorentz-polarization factor, no thermal factor.

```
data_CuTeAsBr2
_cell_length_a 4.8376
_cell_length_b 4.8376
_cell_length_c 5.1759
_cell_angle_alpha 90.00
_cell_angle_beta 90.00
_cell_angle_gamma 90.00
_symmetry_space_group_name_H-M 'P 1'
_symmetry_Int_Tables_number 1
_symmetry_space_group_name_Hall 'P 1'
loop_
_atom_site_label
_atom_site_fract_x
_atom_site_fract_y
_atom_site_fract_z
Cu1 0.0000 0.0000 0.0000
Te1 0.5000 0.5000 0.5000
As1 0.0000 0.0000 0.5000
Br1 0.0000 0.5000 0.0000
Br2 0.5000 0.0000 0.0000
```

The 8 most intense peaks (10° ≤ 2θ ≤ 90°), sorted by position:
hkl 1 0 1, 25.20°, I 26.8; hkl 1 1 1, 31.35°, I 100.0; hkl 0 0 2, 34.66°, I 41.1; hkl 2 0 0, 37.17°, I 67.7; hkl 2 0 2, 51.73°, I 51.2; hkl 2 2 0, 53.58°, I 23.0; hkl 3 1 1, 63.40°, I 26.1; hkl 2 2 2, 65.41°, I 24.8